# Fe4BiF12
Simulated powder diffractogram, Cu Kα. Input: a cell relaxed with PBE+U.
Kinematic intensities with the Lorentz-polarization factor, no thermal factor.

Structure:
a = 8.2056 Å, b = 8.2056 Å, c = 7.7250 Å
α = 90.00°, β = 90.00°, γ = 90.00°
Space group I4/mmm (No. 139)
Symmetry-distinct sites (fractional):
1 Fe 0.2500 0.2500 0.2500
2 Bi 0.0000 0.0000 0.0000
3 F 0.0000 0.2316 0.1889
4 F 0.2123 0.2123 0.5000

The 10 most intense peaks (2θ = 10–90°), low angle first:
| 2θ (°) | I_rel | index |
| --- | --- | --- |
| 15.27 | 58 | 1 1 0 |
| 15.76 | 100 | 1 0 1 |
| 26.90 | 45 | 2 1 1 |
| 30.82 | 26 | 2 2 0 |
| 31.82 | 53 | 2 0 2 |
| 34.79 | 24 | 3 0 1 |
| 42.91 | 27 | 2 1 3 |
| 44.15 | 31 | 4 0 0 |
| 55.44 | 26 | 4 2 2 |
| 57.30 | 22 | 2 2 4 |

=====

# CsBiMo2O8
Simulated powder diffractogram, Cu Kα. Input: a cell relaxed with PBE+U.
Kinematic intensities with the Lorentz-polarization factor, no thermal factor.

Structure:
a = 6.1475 Å, b = 6.1475 Å, c = 8.5071 Å
α = 90.00°, β = 90.00°, γ = 120.00°
Space group P-3 (No. 147)
Symmetry-distinct sites (fractional):
1 Cs 0.0000 0.0000 0.0000
2 Bi 0.0000 0.0000 0.5000
3 Mo 0.3333 0.6667 0.7377
4 O 0.1597 0.3431 0.6714
5 O 0.3333 0.6667 0.9434

The 10 most intense peaks (2θ = 10–90°), low angle first:
| 2θ (°) | I_rel | index |
| --- | --- | --- |
| 16.65 | 48 | 1 0 0 |
| 19.67 | 66 | 0 1 1 |
| 26.83 | 100 | 0 1 2 |
| 29.05 | 68 | 1 1 0 |
| 39.95 | 41 | 0 2 2 |
| 46.37 | 13 | 1 2 1 |
| 50.15 | 36 | 3 -2 2 |
| 51.50 | 14 | 3 0 0 |
| 52.31 | 27 | 1 1 4 |
| 67.10 | 16 | 3 1 2 |